Structure and theoretical powder diffractogram of CeAuI (a PBE-relaxed structure; CuKα).

```
CeAuI
1.0
4.1490 -2.3948 0.0000
4.1490 2.3948 0.0000
-2.6621 0.0000 10.7071
Ce Au I
2 2 2
Cartesian
-0.0031 0.0000 1.6133 Ce
5.6391 0.0000 9.0937 Ce
2.7662 0.0000 0.0494 Au
2.8698 0.0000 10.6577 Au
0.1066 0.0000 7.1790 I
5.5293 0.0000 3.5280 I
```

Largest 10 diffraction maxima, sorted by position, 2θ = 5–70°:
| two_theta | d_spacing | I/Imax |
| --- | --- | --- |
| 8.26 | 10.707 | 100 |
| 22.13 | 4.017 | 8 |
| 24.95 | 3.569 | 7 |
| 28.95 | 3.085 | 24 |
| 29.16 | 3.063 | 13 |
| 35.26 | 2.546 | 9 |
| 37.54 | 2.396 | 49 |
| 37.76 | 2.382 | 14 |
| 38.48 | 2.339 | 13 |
| 67.77 | 1.383 | 7 |